For Tm3GaCu4, a crystal structure in Alexandria, relaxed with GGA-PBE gives the calculated X-ray diffraction stick pattern in this record (Cu Kα, 1.54184 Å).
Lines closer than 0.1° are merged.

Structural model:
Unit cell a=3.679 b=5.368 c=16.386 alpha=90.00 beta=90.00 gamma=90.00
Space group Immm (No. 71)
Unique sites:
1 Tm 0.000 0.000 0.000 x2
2 Tm 0.000 0.500 0.217 x4
3 Ga 0.000 0.000 0.500 x2
4 Cu 0.000 0.271 0.378 x8

Peak list (10 most intense, 5 to 70 degrees two-theta, by intensity)
| hkl | 2theta | Rel. int. |
| --- | --- | --- |
| 1 1 2 | 31.4 | 1000 |
| 0 2 4 | 40.2 | 463 |
| 1 0 5 | 36.7 | 396 |
| 0 1 7 | 42.1 | 346 |
| 0 1 3 | 23.2 | 252 |
| 2 2 4 | 65.6 | 237 |
| 1 3 2 | 58.5 | 176 |
| 2 0 0 | 49.6 | 170 |
| 1 1 6 | 44.6 | 157 |
| 1 2 9 | 67.1 | 148 |

For HfB2S4, a crystal structure in Alexandria, relaxed with GGA-PBE gives the calculated X-ray diffraction stick pattern in this record (Cu Kα, 1.54184 Å).
Lines closer than 0.1° are merged.

Structural model:
Unit cell a=7.064 b=7.064 c=5.252 alpha=90.00 beta=90.00 gamma=90.00
Space group I4/m (No. 87)
Unique sites:
1 Hf 0.000 0.000 0.000 x2
2 B 0.000 0.500 0.250 x4
3 S 0.129 0.344 0.000 x8

Peak list (10 most intense, 5 to 70 degrees two-theta, by intensity)
| hkl | 2theta | Rel. int. |
| --- | --- | --- |
| 1 0 1 | 21.1 | 1000 |
| 1 2 1 | 33.1 | 676 |
| 1 3 2 | 53.9 | 399 |
| 1 3 0 | 40.4 | 298 |
| 2 0 0 | 25.2 | 257 |
| 3 2 1 | 49.7 | 237 |
| 1 1 0 | 17.8 | 208 |
| 0 0 2 | 34.1 | 186 |
| 3 0 1 | 42.1 | 178 |
| 2 2 0 | 36.0 | 143 |

For Sn6Ge, a crystal structure in Alexandria, relaxed with GGA-PBE gives the calculated X-ray diffraction stick pattern in this record (Cu Kα, 1.54184 Å).
Lines closer than 0.1° are merged.

Structural model:
Unit cell a=8.115 b=8.115 c=8.115 alpha=90.00 beta=90.00 gamma=90.00
Space group Im-3m (No. 229)
Unique sites:
1 Sn 0.000 0.250 0.500 x12
2 Ge 0.000 0.000 0.000 x2

Peak list (10 most intense, 5 to 70 degrees two-theta, by intensity)
| hkl | 2theta | Rel. int. |
| --- | --- | --- |
| 2 1 1 | 26.9 | 1000 |
| 3 2 1 | 41.6 | 632 |
| 2 2 2 | 38.4 | 557 |
| 1 1 0 | 15.4 | 497 |
| 4 0 0 | 44.7 | 416 |
| 2 0 0 | 21.9 | 413 |
| 4 4 0 | 65.0 | 280 |
| 5 2 1 | 62.7 | 193 |
| 4 2 0 | 50.3 | 184 |
| 3 3 2 | 52.9 | 159 |

For Tl17SnHg11, a crystal structure in Alexandria, relaxed with GGA-PBE gives the calculated X-ray diffraction stick pattern in this record (Cu Kα, 1.54184 Å).
Lines closer than 0.1° are merged.

Structural model:
Unit cell a=11.854 b=16.355 c=10.116 alpha=90.00 beta=120.24 gamma=90.00
Space group Cm (No. 8)
Unique sites:
1 Tl 0.000 0.000 0.000 x2
2 Tl 0.004 0.319 0.314 x4
3 Tl 0.025 0.000 0.622 x2
4 Tl 0.134 0.201 0.650 x4
5 Tl 0.217 0.500 0.019 x2
6 Tl 0.292 0.366 0.322 x4
7 Tl 0.316 0.306 0.007 x4
8 Tl 0.333 0.000 0.334 x2
9 Tl 0.339 0.000 0.693 x2
10 Tl 0.384 0.352 0.725 x4
11 Tl 0.493 0.163 0.924 x4
12 Sn 0.003 0.500 0.135 x2
13 Hg 0.062 0.093 0.342 x4
14 Hg 0.098 0.403 0.681 x4
15 Hg 0.150 0.189 0.149 x4
16 Hg 0.194 0.500 0.487 x2
17 Hg 0.239 0.097 0.957 x4
18 Hg 0.337 0.192 0.515 x4

Peak list (10 most intense, 5 to 70 degrees two-theta, by intensity)
| hkl | 2theta | Rel. int. |
| --- | --- | --- |
| 1 3 -3 | 31.9 | 1000 |
| 1 5 -2 | 32.6 | 762 |
| 0 0 3 | 30.7 | 718 |
| 3 3 0 | 30.9 | 630 |
| 3 3 -3 | 33.0 | 509 |
| 3 5 -2 | 36.4 | 497 |
| 4 2 -2 | 32.3 | 494 |
| 4 0 -3 | 32.9 | 473 |
| 3 5 -1 | 35.8 | 280 |
| 4 0 -1 | 31.1 | 257 |